Structure and calculated powder diffraction line list of YCoC2 (a DFT-relaxed cell (PBE, the Materials Project); CuKα).

Structure:
Lattice parameters (Å, degrees): 3.5880 4.5141 5.9955 90.00 90.00 90.00
Space group Amm2 (No. 38)
Symmetry-distinct sites (fractional):
Y: 0.0000 0.0000 0.0000 x2
Co: 0.5000 0.0000 0.3831 x2
C: 0.5000 0.1528 0.6940 x4

Largest 10 diffraction maxima, in order of falling intensity, 2θ from 5° to 70°:
2θ 35.29, rel. 100
2θ 39.16, rel. 22
2θ 49.90, rel. 19
2θ 39.94, rel. 18
2θ 29.80, rel. 16
2θ 24.69, rel. 15
2θ 69.54, rel. 12
2θ 50.62, rel. 12
2θ 57.18, rel. 12
2θ 50.90, rel. 12

***

Structure and calculated powder diffraction line list of La4Er11S22 (a DFT-relaxed cell (PBE, the Materials Project); CuKα).

Structure:
Lattice parameters (Å, degrees): 39.2558 3.9661 11.3687 90.00 91.40 90.00
Space group C2/m (No. 12)
Symmetry-distinct sites (fractional):
La: 0.1040 0.0000 0.0122 x4
La: 0.1329 0.5000 0.6527 x4
Er: 0.0000 0.0000 0.0000 x2
Er: 0.0380 0.5000 0.7288 x4
Er: 0.0693 0.0000 0.3604 x4
Er: 0.1576 0.5000 0.3016 x4
Er: 0.2021 0.0000 0.9419 x4
Er: 0.2361 0.5000 0.6480 x4
S: 0.0077 0.0000 0.2389 x4
S: 0.0464 0.5000 0.9683 x4
S: 0.0542 0.5000 0.5045 x4
S: 0.0869 0.0000 0.7518 x4
S: 0.0929 0.5000 0.2134 x4
S: 0.1344 0.0000 0.4523 x4
S: 0.1497 0.5000 0.9088 x4
S: 0.1686 0.0000 0.1522 x4
S: 0.1892 0.0000 0.6921 x4
S: 0.2200 0.5000 0.4100 x4
S: 0.2447 0.5000 0.8810 x4

Largest 10 diffraction maxima, in order of falling intensity, 2θ from 5° to 70°:
2θ 24.17, rel. 100
2θ 23.48, rel. 79
2θ 27.55, rel. 64
2θ 31.36, rel. 62
2θ 26.29, rel. 62
2θ 33.79, rel. 56
2θ 41.94, rel. 56
2θ 27.30, rel. 47
2θ 45.75, rel. 44
2θ 44.00, rel. 36